[1]
Diffraction record for Ca3Y5S8. The powder diffraction line list is calculated, not measured: it uses a cell relaxed with GGA-PBE and Cu Kα, 1.54184 Å.
Peak positions follow from Bragg's law for the DFT cell and can differ from measured ones.

Crystal structure
Cell: 7.8816 7.8816 19.4563 Å, 90.00 90.00 120.00°
Space group R-3m (No. 166, hexagonal axes)
Symmetry-distinct sites (fractional):
Ca (0.0000, 0.5000, 0.0000) x9
Y (0.0000, 0.0000, 0.0000) x3
Y (0.0000, 0.0000, 0.5000) x3
Y (0.0000, 0.5000, 0.5000) x9
S (0.0000, 0.0000, 0.2485) x6
S (0.0011, 0.5005, 0.7506) x18

Most intense lines, 2θ = 15–90°, most intense first:
2θ/deg, d/Å, I/Imax, hkl
32.0, 2.794, 100, 0 2 4
45.8, 1.981, 34, 2 0 8
46.1, 1.970, 34, 2 2 0
27.7, 3.220, 20, 2 0 2
57.2, 1.610, 17, 4 0 4
76.0, 1.252, 14, 2 2 12
76.4, 1.247, 14, 2 4 4
85.1, 1.140, 11, 4 2 8
67.0, 1.397, 10, 0 4 8
27.5, 3.243, 7, 0 0 6



[2]
Diffraction record for CaY6S8. The powder diffraction line list is calculated, not measured: it uses a cell relaxed with GGA-PBE and Cu Kα, 1.54184 Å.
Peak positions follow from Bragg's law for the DFT cell and can differ from measured ones.

Crystal structure
Cell: 11.077 11.077 11.077 Å, 90.00 90.00 90.00°
Space group Fm-3m (No. 225)
Symmetry-distinct sites (fractional):
Ca (0.000, 0.000, 0.000) x4
Y (0.000, 0.250, 0.250) x24
S (0.000, 0.000, 0.251) x24
S (0.250, 0.250, 0.250) x8

Most intense lines, 2θ = 15–90°, most intense first:
2θ/deg, d/Å, I/Imax, hkl
32.3, 2.769, 100, 4 0 0
46.4, 1.958, 69, 4 4 0
77.0, 1.238, 29, 8 4 0
27.9, 3.198, 27, 2 2 2
57.7, 1.599, 23, 4 4 4
86.0, 1.131, 22, 8 4 4
16.0, 5.538, 15, 2 0 0
22.7, 3.916, 13, 2 2 0
55.0, 1.670, 13, 6 2 2
67.7, 1.385, 11, 8 0 0



[3]
Diffraction record for Ca2YS4. The powder diffraction line list is calculated, not measured: it uses a cell relaxed with GGA-PBE and Cu Kα, 1.54184 Å.
Peak positions follow from Bragg's law for the DFT cell and can differ from measured ones.

Crystal structure
Cell: 3.865 13.629 12.738 Å, 90.00 90.00 90.00°
Space group Cmcm (No. 63)
Symmetry-distinct sites (fractional):
Ca (0.000, 0.130, 0.070) x8
Y (0.000, 0.380, 0.250) x4
S (0.000, 0.019, 0.250) x4
S (0.000, 0.224, 0.629) x8
S (0.000, 0.500, 0.000) x4

Most intense lines, 2θ = 15–90°, most intense first:
2θ/deg, d/Å, I/Imax, hkl
43.0, 2.102, 100, 1 5 2
33.5, 2.672, 99, 1 3 2
31.2, 2.868, 99, 1 3 1
24.7, 3.604, 96, 0 2 3
31.0, 2.885, 43, 0 2 4
45.3, 2.003, 39, 0 6 3
53.8, 1.703, 33, 0 8 0
47.0, 1.932, 32, 2 0 0
67.3, 1.391, 22, 2 6 3
37.2, 2.419, 21, 1 1 4



[4]
Diffraction record for Ca16Sb11. The powder diffraction line list is calculated, not measured: it uses a cell relaxed with GGA-PBE and Cu Kα, 1.54184 Å.
Peak positions follow from Bragg's law for the DFT cell and can differ from measured ones.

Crystal structure
Cell: 12.273 12.273 11.368 Å, 90.00 90.00 90.00°
Space group P-42_1m (No. 113)
Symmetry-distinct sites (fractional):
Ca (0.000, 0.500, 0.137) x2
Ca (0.000, 0.500, 0.783) x2
Ca (0.069, 0.204, 0.316) x8
Ca (0.075, 0.210, 0.711) x8
Ca (0.088, 0.793, 0.999) x8
Ca (0.134, 0.634, 0.501) x4
Sb (0.000, 0.000, 0.152) x4
Sb (0.000, 0.000, 0.500) x2
Sb (0.125, 0.375, 0.513) x4
Sb (0.145, 0.355, 0.964) x4
Sb (0.164, 0.664, 0.236) x4
Sb (0.181, 0.681, 0.762) x4

Most intense lines, 2θ = 15–90°, most intense first:
2θ/deg, d/Å, I/Imax, hkl
22.5, 3.948, 100, 2 1 2
22.9, 3.881, 81, 3 1 0
34.0, 2.637, 76, 4 1 2
33.0, 2.711, 44, 3 1 3
32.6, 2.744, 44, 4 2 0
31.3, 2.854, 40, 2 2 3
30.6, 2.920, 30, 3 2 2
31.5, 2.842, 26, 0 0 4
44.7, 2.027, 25, 3 3 4
27.7, 3.224, 25, 2 0 3



[5]
Diffraction record for CaSb6. The powder diffraction line list is calculated, not measured: it uses a cell relaxed with GGA-PBE and Cu Kα, 1.54184 Å.
Peak positions follow from Bragg's law for the DFT cell and can differ from measured ones.

Crystal structure
Cell: 8.402 8.402 8.402 Å, 90.00 90.00 90.00°
Space group Im-3m (No. 229)
Symmetry-distinct sites (fractional):
Ca (0.000, 0.000, 0.000) x2
Sb (0.000, 0.250, 0.500) x12

Most intense lines, 2θ = 15–90°, most intense first:
2θ/deg, d/Å, I/Imax, hkl
26.0, 3.430, 100, 2 1 1
37.1, 2.425, 75, 2 2 2
40.2, 2.246, 62, 3 2 1
43.1, 2.101, 46, 4 0 0
21.1, 4.201, 42, 2 0 0
62.5, 1.485, 30, 4 4 0
75.0, 1.267, 28, 6 2 2
33.7, 2.657, 25, 3 1 0
60.3, 1.534, 18, 5 2 1
68.9, 1.363, 18, 6 1 1



[6]
Diffraction record for Ca3Sb4. The powder diffraction line list is calculated, not measured: it uses a cell relaxed with GGA-PBE and Cu Kα, 1.54184 Å.
Peak positions follow from Bragg's law for the DFT cell and can differ from measured ones.

Crystal structure
Cell: 11.954 4.350 16.196 Å, 90.00 90.04 90.00°
Space group Cm (No. 8)
Symmetry-distinct sites (fractional):
Ca (0.000, 0.000, 0.000) x2
Ca (0.001, 0.000, 0.306) x2
Ca (0.084, 0.500, 0.653) x2
Ca (0.235, 0.500, 0.153) x2
Ca (0.317, 0.000, 0.806) x2
Ca (0.319, 0.000, 0.500) x2
Sb (0.025, 0.000, 0.795) x2
Sb (0.027, 0.000, 0.510) x2
Sb (0.158, 0.500, 0.903) x2
Sb (0.160, 0.500, 0.403) x2
Sb (0.292, 0.000, 0.011) x2
Sb (0.293, 0.000, 0.295) x2
Sb (0.351, 0.500, 0.653) x2
Sb (0.467, 0.000, 0.153) x2

Most intense lines, 2θ = 15–90°, most intense first:
2θ/deg, d/Å, I/Imax, hkl
31.1, 2.877, 100, 1 1 -4
32.4, 2.762, 52, 3 1 -2
30.4, 2.939, 42, 3 1 0
22.4, 3.964, 41, 1 1 1
18.4, 4.809, 35, 2 0 2
41.5, 2.175, 34, 0 2 0
37.4, 2.405, 29, 4 0 4
22.2, 4.006, 27, 2 0 -3
34.8, 2.581, 23, 3 1 -3
37.8, 2.378, 19, 3 1 4



[7]
Diffraction record for Ca4Sb. The powder diffraction line list is calculated, not measured: it uses a cell relaxed with GGA-PBE and Cu Kα, 1.54184 Å.
Peak positions follow from Bragg's law for the DFT cell and can differ from measured ones.

Crystal structure
Cell: 7.369 7.369 7.369 Å, 90.00 90.00 90.00°
Space group Im-3m (No. 229)
Symmetry-distinct sites (fractional):
Ca (0.250, 0.250, 0.250) x8
Sb (0.000, 0.000, 0.000) x2

Most intense lines, 2θ = 15–90°, most intense first:
2θ/deg, d/Å, I/Imax, hkl
17.0, 5.210, 100, 1 1 0
34.4, 2.605, 100, 2 2 0
29.7, 3.008, 51, 2 1 1
61.7, 1.504, 33, 4 2 2
46.1, 1.969, 30, 3 2 1
38.6, 2.330, 25, 3 1 0
49.5, 1.842, 17, 4 0 0
64.5, 1.445, 16, 5 1 0
52.7, 1.737, 15, 4 1 1
82.9, 1.165, 14, 6 2 0



[8]
Diffraction record for CaSc4Sb5. The powder diffraction line list is calculated, not measured: it uses a cell relaxed with GGA-PBE and Cu Kα, 1.54184 Å.
Peak positions follow from Bragg's law for the DFT cell and can differ from measured ones.

Crystal structure
Cell: 4.196 5.988 21.291 Å, 90.00 90.00 90.00°
Space group Immm (No. 71)
Symmetry-distinct sites (fractional):
Ca (0.000, 0.000, 0.000) x2
Sc (0.000, 0.000, 0.204) x4
Sc (0.000, 0.000, 0.402) x4
Sb (0.000, 0.500, 0.000) x2
Sb (0.000, 0.500, 0.198) x4
Sb (0.000, 0.500, 0.390) x4

Most intense lines, 2θ = 15–90°, most intense first:
2θ/deg, d/Å, I/Imax, hkl
29.9, 2.991, 100, 0 2 0
42.7, 2.115, 48, 1 2 5
25.9, 3.436, 20, 1 1 0
70.4, 1.338, 20, 1 4 5
25.7, 3.470, 20, 0 1 5
53.3, 1.718, 13, 2 2 0
43.1, 2.098, 12, 2 0 0
52.8, 1.735, 12, 0 2 10
42.5, 2.129, 11, 0 0 10
50.4, 1.809, 9, 0 3 5



[9]
Diffraction record for CaScSb2. The powder diffraction line list is calculated, not measured: it uses a cell relaxed with GGA-PBE and Cu Kα, 1.54184 Å.
Peak positions follow from Bragg's law for the DFT cell and can differ from measured ones.

Crystal structure
Cell: 7.316 4.249 7.822 Å, 90.00 108.36 90.00°
Space group C2/m (No. 12)
Symmetry-distinct sites (fractional):
Ca (0.000, 0.000, 0.000) x2
Sc (0.000, 0.500, 0.500) x2
Sb (0.241, 0.000, 0.723) x4

Most intense lines, 2θ = 15–90°, most intense first:
2θ/deg, d/Å, I/Imax, hkl
29.1, 3.064, 100, 1 1 1
42.8, 2.115, 24, 3 1 -1
40.6, 2.221, 24, 1 1 -3
25.5, 3.491, 20, 1 1 -1
52.4, 1.745, 12, 2 2 -2
42.6, 2.125, 12, 0 2 0
40.8, 2.212, 12, 2 0 2
60.4, 1.532, 10, 2 2 2
25.7, 3.472, 10, 2 0 0
24.0, 3.712, 10, 0 0 2



[10]
Diffraction record for CaSbSe2. The powder diffraction line list is calculated, not measured: it uses a cell relaxed with GGA-PBE and Cu Kα, 1.54184 Å.
Peak positions follow from Bragg's law for the DFT cell and can differ from measured ones.

Crystal structure
Cell: 4.717 3.870 11.255 Å, 90.00 90.00 90.00°
Space group Amm2 (No. 38)
Symmetry-distinct sites (fractional):
Ca (0.000, 0.000, 0.000) x2
Sb (0.500, 0.000, 0.228) x2
Se (0.000, 0.000, 0.724) x2
Se (0.500, 0.000, 0.463) x2

Most intense lines, 2θ = 15–90°, most intense first:
2θ/deg, d/Å, I/Imax, hkl
30.9, 2.891, 100, 1 1 1
38.5, 2.339, 52, 1 1 3
31.8, 2.814, 41, 0 0 4
38.2, 2.359, 26, 2 0 0
50.8, 1.799, 23, 1 1 5
50.5, 1.808, 21, 2 0 4
71.4, 1.321, 15, 2 2 4
15.7, 5.628, 15, 0 0 2
47.0, 1.935, 14, 0 2 0
57.8, 1.594, 14, 0 2 4



[11]
Diffraction record for Ca2SbSe4. The powder diffraction line list is calculated, not measured: it uses a cell relaxed with GGA-PBE and Cu Kα, 1.54184 Å.
Peak positions follow from Bragg's law for the DFT cell and can differ from measured ones.

Crystal structure
Cell: 8.763 8.763 9.139 Å, 90.00 90.00 90.00°
Space group I-42d (No. 122)
Symmetry-distinct sites (fractional):
Ca (0.132, 0.750, 0.125) x8
Sb (0.000, 0.000, 0.500) x4
Se (0.062, 0.682, 0.448) x16

Most intense lines, 2θ = 15–90°, most intense first:
2θ/deg, d/Å, I/Imax, hkl
31.1, 2.877, 100, 1 0 3
32.2, 2.782, 99, 3 0 1
38.0, 2.370, 79, 3 1 2
32.3, 2.771, 52, 3 1 0
38.3, 2.349, 51, 3 2 1
37.4, 2.405, 30, 2 1 3
53.2, 1.721, 25, 4 3 1
50.7, 1.801, 23, 4 2 2
67.6, 1.386, 22, 6 2 0
52.5, 1.743, 18, 4 1 3



[12]
Diffraction record for Ca2SbSe3. The powder diffraction line list is calculated, not measured: it uses a cell relaxed with GGA-PBE and Cu Kα, 1.54184 Å.
Peak positions follow from Bragg's law for the DFT cell and can differ from measured ones.

Crystal structure
Cell: 5.926 13.429 4.606 Å, 90.00 90.00 90.00°
Space group Cmmm (No. 65)
Symmetry-distinct sites (fractional):
Ca (0.000, 0.145, 0.000) x4
Sb (0.000, 0.500, 0.500) x2
Se (0.000, 0.000, 0.500) x2
Se (0.000, 0.359, 0.000) x4

Most intense lines, 2θ = 15–90°, most intense first:
2θ/deg, d/Å, I/Imax, hkl
33.0, 2.713, 100, 0 4 1
23.4, 3.798, 78, 0 2 1
45.3, 2.001, 72, 2 4 1
30.2, 2.963, 63, 2 0 0
38.5, 2.336, 42, 2 2 1
39.1, 2.303, 31, 0 0 2
50.2, 1.818, 29, 2 0 2
16.3, 5.422, 22, 1 1 0
72.7, 1.300, 17, 4 4 1
40.3, 2.238, 17, 0 6 0



[13]
Diffraction record for CaSb2Se. The powder diffraction line list is calculated, not measured: it uses a cell relaxed with GGA-PBE and Cu Kα, 1.54184 Å.
Peak positions follow from Bragg's law for the DFT cell and can differ from measured ones.

Crystal structure
Cell: 4.3597 4.3597 7.4429 Å, 90.00 90.00 120.00°
Space group P3m1 (No. 156)
Symmetry-distinct sites (fractional):
Ca (0.0000, 0.0000, 0.0000) x1
Sb (0.0000, 0.0000, 0.5296) x1
Sb (0.3333, 0.6667, 0.3174) x1
Se (0.6667, 0.3333, 0.8206) x1

Most intense lines, 2θ = 15–90°, most intense first:
2θ/deg, d/Å, I/Imax, hkl
26.5, 3.367, 100, 1 0 1
33.8, 2.650, 92, 1 0 2
41.4, 2.180, 54, 1 1 0
43.7, 2.073, 28, 0 1 3
54.5, 1.684, 23, 0 2 2
70.7, 1.332, 20, 2 1 2
66.0, 1.415, 18, 1 1 4
49.8, 1.830, 17, 0 2 1
66.7, 1.402, 14, 2 1 1
77.1, 1.237, 10, 1 2 3